No. 1
This entry pairs a crystal structure of Na2TiTlF8 with its theoretical PXRD pattern. Radiation: Cu Kα, 1.54184 Å. Structure: a cell relaxed with PBE.
Peak positions follow from Bragg's law for the DFT cell and can differ from measured ones.

Atomic structure:
```
data_Na2TiTlF8
_space_group_name_H-M_alt 'P 1 2/m 1'
_space_group_IT_number 10
_space_group_name_Hall '-P 2y'
_cell_length_a 5.0486
_cell_length_b 7.3005
_cell_length_c 5.0691
_cell_angle_alpha 90.00
_cell_angle_beta 91.53
_cell_angle_gamma 90.00
loop_
_atom_site_label
_atom_site_type_symbol
_atom_site_fract_x
_atom_site_fract_y
_atom_site_fract_z
Na1 Na 0.0000 0.2381 0.0000
Ti1 Ti 0.5000 0.0000 0.5000
Tl1 Tl 0.5000 0.5000 0.5000
F1 F 0.1836 0.5000 0.1839
F2 F 0.2332 0.0000 0.2321
F3 F 0.3175 0.1888 0.6805
```

Main lines, most intense first (2θ = 10–90°):
- hkl 0 0 1, 2θ 17.5, d = 5.057 Å, intensity 100
- hkl 1 2 0, 2θ 30.2, d = 2.960 Å, intensity 76
- hkl 1 0 -1, 2θ 24.6, d = 3.624 Å, intensity 54
- hkl 1 0 1, 2θ 25.2, d = 3.529 Å, intensity 46
- hkl 1 1 0, 2θ 21.4, d = 4.157 Å, intensity 45
- hkl 1 2 -1, 2θ 34.9, d = 2.572 Å, intensity 41
- hkl 2 2 -1, 2θ 46.9, d = 1.937 Å, intensity 38
- hkl 2 2 1, 2θ 47.7, d = 1.908 Å, intensity 34
- hkl 0 1 0, 2θ 12.1, d = 7.301 Å, intensity 30
- hkl 0 2 0, 2θ 24.4, d = 3.650 Å, intensity 25

No. 2
This entry pairs a crystal structure of NaTiZnF6 with its theoretical PXRD pattern. Radiation: Cu Kα, 1.54184 Å. Structure: a cell relaxed with PBE.
Peak positions follow from Bragg's law for the DFT cell and can differ from measured ones.

Atomic structure:
```
data_NaTiZnF6
_space_group_name_H-M_alt 'P -3 1 c'
_space_group_IT_number 163
_space_group_name_Hall '-P 3 2c'
_cell_length_a 5.4395
_cell_length_b 5.4395
_cell_length_c 9.6636
_cell_angle_alpha 90.00
_cell_angle_beta 90.00
_cell_angle_gamma 120.00
loop_
_atom_site_label
_atom_site_type_symbol
_atom_site_fract_x
_atom_site_fract_y
_atom_site_fract_z
Na1 Na 0.0000 0.0000 0.0000
Ti1 Ti 0.3333 0.6667 0.2500
Zn1 Zn 0.3333 0.6667 0.7500
F1 F 0.0103 0.3666 0.1411
```

Main lines, most intense first (2θ = 10–90°):
- hkl 1 0 2, 2θ 26.4, d = 3.373 Å, intensity 100
- hkl 1 1 2, 2θ 38.0, d = 2.370 Å, intensity 80
- hkl 1 1 4, 2θ 50.5, d = 1.806 Å, intensity 79
- hkl 0 0 2, 2θ 18.4, d = 4.832 Å, intensity 78
- hkl 3 0 0, 2θ 58.8, d = 1.570 Å, intensity 36
- hkl 1 0 0, 2θ 18.8, d = 4.711 Å, intensity 34
- hkl 1 1 0, 2θ 32.9, d = 2.720 Å, intensity 27
- hkl 2 1 2, 2θ 55.0, d = 1.671 Å, intensity 24
- hkl 2 0 2, 2θ 42.7, d = 2.117 Å, intensity 22
- hkl 2 -1 6, 2θ 67.6, d = 1.386 Å, intensity 16

No. 3
This entry pairs a crystal structure of NaZr2TiF11 with its theoretical PXRD pattern. Radiation: Cu Kα, 1.54184 Å. Structure: a cell relaxed with PBE.
Peak positions follow from Bragg's law for the DFT cell and can differ from measured ones.

Atomic structure:
```
data_NaZr2TiF11
_space_group_name_H-M_alt 'C 1 2/m 1'
_space_group_IT_number 12
_space_group_name_Hall '-C 2y'
_cell_length_a 9.2756
_cell_length_b 6.8858
_cell_length_c 7.9066
_cell_angle_alpha 90.00
_cell_angle_beta 116.03
_cell_angle_gamma 90.00
loop_
_atom_site_label
_atom_site_type_symbol
_atom_site_fract_x
_atom_site_fract_y
_atom_site_fract_z
Na1 Na 0.0000 0.0000 0.0000
Zr1 Zr 0.0042 0.5000 0.2345
Ti1 Ti 0.0000 0.0000 0.5000
F1 F 0.0000 0.3289 0.0000
F2 F 0.0000 0.5000 0.5000
F3 F 0.0127 0.2046 0.3115
F4 F 0.2349 0.5000 0.8891
F5 F 0.2458 0.0000 0.6418
```

Main lines, most intense first (2θ = 10–90°):
- hkl 2 0 0, 2θ 21.3, d = 4.167 Å, intensity 100
- hkl 1 1 -2, 2θ 26.0, d = 3.428 Å, intensity 90
- hkl 1 1 0, 2θ 16.7, d = 5.309 Å, intensity 61
- hkl 0 2 0, 2θ 25.9, d = 3.443 Å, intensity 43
- hkl 4 0 0, 2θ 43.5, d = 2.082 Å, intensity 41
- hkl 1 3 -2, 2θ 45.7, d = 1.985 Å, intensity 37
- hkl 5 1 -2, 2θ 51.1, d = 1.789 Å, intensity 21
- hkl 4 0 -4, 2θ 50.8, d = 1.797 Å, intensity 17
- hkl 2 0 -4, 2θ 45.9, d = 1.976 Å, intensity 17
- hkl 3 1 2, 2θ 51.6, d = 1.771 Å, intensity 17

No. 4
This entry pairs a crystal structure of NaTlF3 with its theoretical PXRD pattern. Radiation: Cu Kα, 1.54184 Å. Structure: a cell relaxed with PBE.
Peak positions follow from Bragg's law for the DFT cell and can differ from measured ones.

Atomic structure:
```
data_NaTlF3
_space_group_name_H-M_alt 'P 1 21/c 1'
_space_group_IT_number 14
_space_group_name_Hall '-P 2ybc'
_cell_length_a 7.8254
_cell_length_b 5.4079
_cell_length_c 8.3025
_cell_angle_alpha 90.00
_cell_angle_beta 120.04
_cell_angle_gamma 90.00
loop_
_atom_site_label
_atom_site_type_symbol
_atom_site_fract_x
_atom_site_fract_y
_atom_site_fract_z
Na1 Na 0.0031 0.2369 0.0967
Tl1 Tl 0.4250 0.1959 0.5614
F1 F 0.0960 0.1131 0.3868
F2 F 0.2735 0.5056 0.6240
F3 F 0.3494 0.0277 0.7974
```

Main lines, most intense first (2θ = 10–90°):
- hkl 1 0 0, 2θ 13.1, d = 6.774 Å, intensity 100
- hkl 2 1 -2, 2θ 30.5, d = 2.929 Å, intensity 50
- hkl 1 1 -2, 2θ 27.1, d = 3.292 Å, intensity 44
- hkl 1 1 0, 2θ 21.0, d = 4.226 Å, intensity 28
- hkl 0 1 2, 2θ 29.9, d = 2.993 Å, intensity 25
- hkl 2 1 0, 2θ 31.2, d = 2.871 Å, intensity 23
- hkl 0 0 2, 2θ 24.8, d = 3.594 Å, intensity 20
- hkl 3 1 0, 2θ 43.4, d = 2.084 Å, intensity 19
- hkl 1 0 2, 2θ 33.6, d = 2.669 Å, intensity 14
- hkl 2 0 0, 2θ 26.3, d = 3.387 Å, intensity 14

No. 5
This entry pairs a crystal structure of Na4Tl2F9 with its theoretical PXRD pattern. Radiation: Cu Kα, 1.54184 Å. Structure: a cell relaxed with PBE.
Peak positions follow from Bragg's law for the DFT cell and can differ from measured ones.

Atomic structure:
```
data_Na4Tl2F9
_space_group_name_H-M_alt 'P -3'
_space_group_IT_number 147
_space_group_name_Hall '-P 3'
_cell_length_a 5.9906
_cell_length_b 5.9906
_cell_length_c 14.6032
_cell_angle_alpha 90.00
_cell_angle_beta 90.00
_cell_angle_gamma 120.00
loop_
_atom_site_label
_atom_site_type_symbol
_atom_site_fract_x
_atom_site_fract_y
_atom_site_fract_z
Na1 Na 0.3333 0.6667 0.1933
Na2 Na 0.3333 0.6667 0.4820
Na3 Na 0.3333 0.6667 0.7106
Na4 Na 0.3333 0.6667 0.9841
Tl1 Tl 0.0000 0.0000 0.1053
Tl2 Tl 0.0000 0.0000 0.3509
F1 F 0.0031 0.7259 0.2481
F2 F 0.0220 0.3899 0.0915
F3 F 0.0332 0.6862 0.5852
```

Main lines, most intense first (2θ = 10–90°):
- hkl 1 0 0, 2θ 17.1, d = 5.188 Å, intensity 100
- hkl 1 1 0, 2θ 29.9, d = 2.990 Å, intensity 89
- hkl 3 0 0, 2θ 53.0, d = 1.728 Å, intensity 42
- hkl 2 0 4, 2θ 42.8, d = 2.115 Å, intensity 26
- hkl 2 0 0, 2θ 34.6, d = 2.594 Å, intensity 18
- hkl 2 -1 4, 2θ 38.9, d = 2.316 Å, intensity 15
- hkl 2 1 0, 2θ 46.3, d = 1.961 Å, intensity 15
- hkl 1 4 0, 2θ 85.9, d = 1.132 Å, intensity 12
- hkl 0 0 4, 2θ 24.4, d = 3.651 Å, intensity 10
- hkl 2 -1 3, 2θ 35.2, d = 2.551 Å, intensity 10

No. 6
This entry pairs a crystal structure of NaTlF4 with its theoretical PXRD pattern. Radiation: Cu Kα, 1.54184 Å. Structure: a cell relaxed with PBE.
Peak positions follow from Bragg's law for the DFT cell and can differ from measured ones.

Atomic structure:
```
data_NaTlF4
_space_group_name_H-M_alt 'P 1 21/c 1'
_space_group_IT_number 14
_space_group_name_Hall '-P 2ybc'
_cell_length_a 5.5942
_cell_length_b 5.6365
_cell_length_c 5.6412
_cell_angle_alpha 90.00
_cell_angle_beta 93.55
_cell_angle_gamma 90.00
loop_
_atom_site_label
_atom_site_type_symbol
_atom_site_fract_x
_atom_site_fract_y
_atom_site_fract_z
Na1 Na 0.0000 0.0000 0.0000
Tl1 Tl 0.5000 0.0000 0.5000
F1 F 0.1877 0.1631 0.3500
F2 F 0.3370 0.6717 0.3171
```

Main lines, most intense first (2θ = 10–90°):
- hkl 1 0 0, 2θ 15.9, d = 5.583 Å, intensity 100
- hkl 0 1 1, 2θ 22.3, d = 3.983 Å, intensity 91
- hkl 1 1 -1, 2θ 26.9, d = 3.312 Å, intensity 84
- hkl 1 1 1, 2θ 28.1, d = 3.178 Å, intensity 74
- hkl 0 0 2, 2θ 31.8, d = 2.817 Å, intensity 40
- hkl 1 2 0, 2θ 35.7, d = 2.516 Å, intensity 28
- hkl 3 1 1, 2θ 55.4, d = 1.657 Å, intensity 26
- hkl 2 2 0, 2θ 45.7, d = 1.983 Å, intensity 26
- hkl 0 2 2, 2θ 45.5, d = 1.992 Å, intensity 26
- hkl 2 1 1, 2θ 40.3, d = 2.241 Å, intensity 24